The following is a theoretical X-ray powder pattern of TiNi2H. It was derived from a cell relaxed with PBE, using copper Kα.
Kinematic intensities with the Lorentz-polarization factor, no thermal factor.

Peak list (12 most intense, 10° ≤ 2θ ≤ 90°, most intense first)
| index | 2theta | d/Å | Rel. int. |
| --- | --- | --- | --- |
| 2 1 1 | 42.5 | 2.128 | 100 |
| 1 1 2 | 36.5 | 2.461 | 44 |
| 2 0 2 | 44.9 | 2.021 | 39 |
| 1 0 3 | 43.6 | 2.076 | 34 |
| 1 0 1 | 22.0 | 4.041 | 16 |
| 3 1 0 | 58.3 | 1.583 | 15 |
| 2 1 3 | 57.7 | 1.598 | 12 |
| 3 1 4 | 83.1 | 1.162 | 10 |
| 2 2 4 | 77.6 | 1.230 | 9 |
| 3 3 2 | 87.4 | 1.116 | 9 |
| 3 2 1 | 69.0 | 1.361 | 8 |
| 3 1 2 | 64.9 | 1.437 | 8 |

Atomic structure:
```
data_TiNi2H
_chemical_formula_sum 'Ti4 Ni8 H4'
_cell_length_a 5.0070
_cell_length_b 5.0070
_cell_length_c 6.8440
_cell_angle_alpha 90.00
_cell_angle_beta 90.00
_cell_angle_gamma 90.00
_space_group_name_H-M_alt 'I -4 2 d'
_space_group_IT_number 122
_space_group_name_Hall 'I -4 2bw'
loop_
_atom_site_label
_atom_site_fract_x
_atom_site_fract_y
_atom_site_fract_z
Ti1 0.0000 0.0000 0.0000
Ni1 0.0786 0.2500 0.6250
H1 0.0000 0.0000 0.5000
```